Diffraction record for HoCd15Ag4. The powder X-ray diffraction pattern is calculated, not measured: it uses DFT lattice parameters and positions (GGA-PBE) and Cu Kα (λ = 1.5418 Å).
Peak positions follow from Bragg's law for the DFT cell and can differ from measured ones.

Largest 10 diffraction maxima, by angle, 2θ = 10–90°:
- d 2.714, 2θ 33.01, I = 1.2, hkl 1 1 4
- d 2.543, 2θ 35.30, I = 100.0, hkl 1 1 5
- d 2.212, 2θ 40.79, I = 34.0, hkl 2 0 0
- d 2.182, 2θ 41.39, I = 14.7, hkl 0 0 10
- d 1.564, 2θ 59.05, I = 10.9, hkl 2 2 0
- d 1.553, 2θ 59.51, I = 19.2, hkl 2 0 10
- d 1.332, 2θ 70.71, I = 24.4, hkl 3 1 5
- d 1.319, 2θ 71.54, I = 9.5, hkl 1 1 15
- d 1.271, 2θ 74.66, I = 9.6, hkl 2 2 10
- d 1.106, 2θ 88.36, I = 3.6, hkl 4 0 0

Structural model:
```
HoCd15Ag4
1.0
4.4246 0.0000 0.0000
0.0000 4.4246 0.0000
0.0000 0.0000 21.8152
Ho Cd Ag
1 15 4
direct
0.0000 0.0000 0.0000
0.0000 0.5000 0.1080
0.0000 0.5000 0.3043
0.0000 0.5000 0.5000
0.0000 0.5000 0.6957
0.0000 0.5000 0.8920
0.5000 0.0000 0.1080
0.5000 0.0000 0.3043
0.5000 0.0000 0.5000
0.5000 0.0000 0.6957
0.5000 0.0000 0.8920
0.5000 0.5000 0.0000
0.5000 0.5000 0.2082
0.5000 0.5000 0.4014
0.5000 0.5000 0.5986
0.5000 0.5000 0.7919
0.0000 0.0000 0.2040
0.0000 0.0000 0.4041
0.0000 0.0000 0.5959
0.0000 0.0000 0.7960
```